# Ca5Te3O14
Calculated powder XRD pattern, Cu Ka. Input: a DFT-relaxed cell (GGA-PBE, Alexandria).
Intensities are scaled so that the largest is 100.

Lattice parameters (Å, degrees): 7.456 7.456 10.601 90.00 90.00 89.77
Element x y z (fractional)
1 Ca 0.000 0.000 0.000
2 Ca 0.232 0.268 0.750
3 Ca 0.245 0.755 0.773
4 Ca 0.255 0.745 0.273
5 Ca 0.268 0.232 0.250
6 Ca 0.500 0.500 0.500
7 Ca 0.732 0.768 0.750
8 Ca 0.745 0.255 0.727
9 Ca 0.755 0.245 0.227
10 Ca 0.768 0.732 0.250
11 Te 0.000 0.000 0.500
12 Te 0.000 0.500 0.000
13 Te 0.000 0.500 0.500
14 Te 0.500 0.000 0.000
15 Te 0.500 0.000 0.500
16 Te 0.500 0.500 0.000
17 O 0.007 0.248 0.565
18 O 0.033 0.296 0.112
19 O 0.036 0.678 0.130
20 O 0.055 0.945 0.670
21 O 0.178 0.536 0.630
22 O 0.204 0.467 0.388
23 O 0.248 0.007 0.435
24 O 0.252 0.493 0.935
25 O 0.296 0.033 0.888
26 O 0.322 0.964 0.130
27 O 0.445 0.555 0.170
28 O 0.464 0.822 0.630
29 O 0.467 0.204 0.612
30 O 0.493 0.252 0.065
31 O 0.507 0.748 0.935
32 O 0.533 0.796 0.388
33 O 0.536 0.178 0.370
34 O 0.555 0.445 0.830
35 O 0.678 0.036 0.870
36 O 0.704 0.967 0.112
37 O 0.748 0.507 0.065
38 O 0.752 0.993 0.565
39 O 0.796 0.533 0.612
40 O 0.822 0.464 0.370
41 O 0.945 0.055 0.330
42 O 0.964 0.322 0.870
43 O 0.967 0.704 0.888
44 O 0.993 0.752 0.435

Peak list (10 most intense, 2θ = 10–90°, sorted by position)
- 2θ = 14.5°, d 6.099, intensity 15.7
- 2θ = 16.7°, d 5.298, intensity 26.7
- 2θ = 23.9°, d 3.730, intensity 26.2
- 2θ = 29.3°, d 3.049, intensity 100.0
- 2θ = 33.9°, d 2.641, intensity 10.8
- 2θ = 48.7°, d 1.871, intensity 15.3
- 2θ = 48.8°, d 1.865, intensity 31.5
- 2θ = 57.7°, d 1.597, intensity 14.2
- 2θ = 57.9°, d 1.593, intensity 13.7
- 2θ = 58.1°, d 1.588, intensity 13.7